[1]
This entry pairs a crystal structure of TbBi3O6 with its computed powder diffraction line list. Radiation: Cu Kα, 1.54184 Å. Structure: the GGA-PBE geometry in Alexandria.
Neutral-atom scattering factors, no anomalous dispersion.

Peak list (8 most intense, 15 to 90 degrees two-theta, in order of falling intensity)
d (Å)	two_theta	intensity
3.198	27.90	100
1.959	46.36	38
2.770	32.32	38
1.670	54.98	34
1.271	74.69	10
4.523	19.63	9
2.173	41.56	9
1.239	76.98	8

Atomic structure:
abc: 9.595 9.595 9.595
angles: 109.47 109.47 109.47
Positions (direct):
Tb 0.000 0.000 0.000
Tb 0.000 0.500 0.500
Tb 0.500 0.000 0.500
Tb 0.500 0.500 0.000
Bi 0.030 0.780 0.250
Bi 0.220 0.750 0.970
Bi 0.250 0.030 0.780
Bi 0.250 0.530 0.280
Bi 0.280 0.250 0.530
Bi 0.470 0.720 0.750
Bi 0.530 0.280 0.250
Bi 0.720 0.750 0.470
Bi 0.750 0.470 0.720
Bi 0.750 0.970 0.220
Bi 0.780 0.250 0.030
Bi 0.970 0.220 0.750
O 0.014 0.466 0.733
O 0.034 0.048 0.267
O 0.048 0.267 0.034
O 0.219 0.452 0.486
O 0.233 0.281 0.767
O 0.233 0.767 0.719
O 0.267 0.034 0.048
O 0.267 0.986 0.534
O 0.281 0.767 0.233
O 0.452 0.486 0.219
O 0.466 0.733 0.014
O 0.486 0.219 0.452
O 0.514 0.781 0.548
O 0.534 0.267 0.986
O 0.548 0.514 0.781
O 0.719 0.233 0.767
O 0.733 0.014 0.466
O 0.733 0.966 0.952
O 0.767 0.233 0.281
O 0.767 0.719 0.233
O 0.781 0.548 0.514
O 0.952 0.733 0.966
O 0.966 0.952 0.733
O 0.986 0.534 0.267

[2]
This entry pairs a crystal structure of SmEr6S8 with its computed powder diffraction line list. Radiation: Cu Kα, 1.54184 Å. Structure: the GGA-PBE geometry in Alexandria.
Neutral-atom scattering factors, no anomalous dispersion.

Peak list (8 most intense, 15 to 90 degrees two-theta, in order of falling intensity)
d (Å)	two_theta	intensity
2.734	32.76	100
3.157	28.27	74
1.933	47.01	72
1.649	55.76	36
1.223	78.18	32
1.116	87.38	25
1.578	58.47	25
1.254	75.84	15

Atomic structure:
abc: 7.733 7.733 7.733
angles: 60.00 60.00 60.00
Positions (direct):
Sm 0.000 0.000 0.000
Er 0.000 0.000 0.500
Er 0.000 0.500 0.000
Er 0.000 0.500 0.500
Er 0.500 0.000 0.000
Er 0.500 0.000 0.500
Er 0.500 0.500 0.000
S 0.250 0.250 0.250
S 0.257 0.257 0.743
S 0.257 0.743 0.257
S 0.257 0.743 0.743
S 0.743 0.257 0.257
S 0.743 0.257 0.743
S 0.743 0.743 0.257
S 0.750 0.750 0.750

[3]
This entry pairs a crystal structure of Sc2Mn2Mo with its computed powder diffraction line list. Radiation: Cu Kα, 1.54184 Å. Structure: the GGA-PBE geometry in Alexandria.
Neutral-atom scattering factors, no anomalous dispersion.

Peak list (8 most intense, 15 to 90 degrees two-theta, in order of falling intensity)
d (Å)	two_theta	intensity
2.325	38.72	100
2.517	35.68	76
4.481	19.81	52
1.924	47.25	50
2.241	40.25	50
1.460	63.77	38
1.768	51.72	28
3.103	28.77	19

Atomic structure:
abc: 6.083 6.083 4.481
angles: 90.00 90.00 90.00
Positions (direct):
Sc 0.178 0.322 0.000
Sc 0.322 0.822 0.000
Sc 0.678 0.178 0.000
Sc 0.822 0.678 0.000
Mn 0.124 0.624 0.500
Mn 0.376 0.124 0.500
Mn 0.624 0.876 0.500
Mn 0.876 0.376 0.500
Mo 0.000 0.000 0.500
Mo 0.500 0.500 0.500

[4]
This entry pairs a crystal structure of Cd11Hg17Au with its computed powder diffraction line list. Radiation: Cu Kα, 1.54184 Å. Structure: the GGA-PBE geometry in Alexandria.
Neutral-atom scattering factors, no anomalous dispersion.

Peak list (8 most intense, 15 to 90 degrees two-theta, in order of falling intensity)
d (Å)	two_theta	intensity
2.601	34.48	100
2.449	36.69	70
2.557	35.09	68
2.981	29.97	44
2.650	33.82	41
2.819	31.74	40
2.802	31.93	32
2.488	36.11	32

Atomic structure:
abc: 10.031 10.031 9.366
angles: 112.68 112.68 101.97
Positions (direct):
Cd 0.000 0.000 0.000
Cd 0.035 0.379 0.701
Cd 0.041 0.844 0.586
Cd 0.166 0.372 0.207
Cd 0.211 0.611 0.094
Cd 0.372 0.166 0.207
Cd 0.379 0.035 0.701
Cd 0.416 0.614 0.904
Cd 0.611 0.211 0.094
Cd 0.614 0.416 0.904
Cd 0.844 0.041 0.586
Hg 0.203 0.805 0.905
Hg 0.218 0.218 0.887
Hg 0.221 0.948 0.309
Hg 0.254 0.654 0.571
Hg 0.279 0.279 0.584
Hg 0.492 0.841 0.468
Hg 0.498 0.498 0.518
Hg 0.570 0.570 0.222
Hg 0.581 0.962 0.216
Hg 0.629 0.861 0.873
Hg 0.654 0.254 0.571
Hg 0.805 0.203 0.905
Hg 0.841 0.492 0.468
Hg 0.861 0.629 0.873
Hg 0.877 0.877 0.249
Hg 0.948 0.221 0.309
Hg 0.962 0.581 0.216
Au 0.771 0.771 0.628

[5]
This entry pairs a crystal structure of ZrHg2Pb with its computed powder diffraction line list. Radiation: Cu Kα, 1.54184 Å. Structure: the GGA-PBE geometry in Alexandria.
Neutral-atom scattering factors, no anomalous dispersion.

Peak list (8 most intense, 15 to 90 degrees two-theta, in order of falling intensity)
d (Å)	two_theta	intensity
2.688	33.34	100
2.611	34.34	90
2.362	38.10	68
1.599	57.63	41
2.174	41.54	30
1.430	65.23	29
1.396	67.07	24
1.710	53.60	13

Atomic structure:
abc: 3.419 4.347 6.532
angles: 90.00 90.00 90.00
Positions (direct):
Zr 0.000 0.000 0.000
Hg 0.000 0.000 0.475
Hg 0.500 0.500 0.238
Pb 0.500 0.500 0.762

[6]
This entry pairs a crystal structure of Ac2TbAs4Pt3 with its computed powder diffraction line list. Radiation: Cu Kα, 1.54184 Å. Structure: the GGA-PBE geometry in Alexandria.
Neutral-atom scattering factors, no anomalous dispersion.

Peak list (8 most intense, 15 to 90 degrees two-theta, in order of falling intensity)
d (Å)	two_theta	intensity
2.772	32.29	100
2.277	39.58	78
2.839	31.51	76
1.776	51.44	40
3.088	28.91	36
1.610	57.21	27
1.392	67.24	25
2.079	43.52	21

Atomic structure:
abc: 4.554 4.554 10.894
angles: 90.00 90.00 90.00
Positions (direct):
Ac 0.000 0.500 0.224
Ac 0.500 0.000 0.776
Tb 0.000 0.000 0.500
As 0.000 0.000 0.000
As 0.000 0.500 0.653
As 0.500 0.000 0.347
As 0.500 0.500 0.000
Pt 0.000 0.500 0.890
Pt 0.500 0.000 0.110
Pt 0.500 0.500 0.500

[7]
This entry pairs a crystal structure of Cr3GePt with its computed powder diffraction line list. Radiation: Cu Kα, 1.54184 Å. Structure: the GGA-PBE geometry in Alexandria.
Neutral-atom scattering factors, no anomalous dispersion.

Peak list (8 most intense, 15 to 90 degrees two-theta, in order of falling intensity)
d (Å)	two_theta	intensity
3.277	27.21	100
2.317	38.86	80
2.676	33.49	68
1.639	56.13	52
1.892	48.09	44
1.397	66.97	25
1.239	76.98	23
1.466	63.48	20

Atomic structure:
abc: 4.634 4.634 4.634
angles: 90.00 90.00 90.00
Positions (direct):
Cr 0.000 0.000 0.500
Cr 0.000 0.500 0.000
Cr 0.500 0.000 0.000
Ge 0.000 0.000 0.000
Pt 0.500 0.500 0.500

[8]
This entry pairs a crystal structure of Yb2SnS5 with its computed powder diffraction line list. Radiation: Cu Kα, 1.54184 Å. Structure: the GGA-PBE geometry in Alexandria.
Neutral-atom scattering factors, no anomalous dispersion.

Peak list (8 most intense, 15 to 90 degrees two-theta, in order of falling intensity)
d (Å)	two_theta	intensity
2.619	34.24	100
3.465	25.71	69
1.934	46.99	63
2.951	30.28	51
3.577	24.89	50
2.728	32.82	41
3.214	27.76	39
2.442	36.81	32

Atomic structure:
abc: 11.714 15.026 3.844
angles: 90.00 90.00 90.00
Positions (direct):
Yb 0.132 0.176 0.010
Yb 0.234 0.921 0.018
Yb 0.266 0.421 0.982
Yb 0.368 0.676 0.990
Yb 0.632 0.324 0.990
Yb 0.734 0.579 0.982
Yb 0.766 0.079 0.018
Yb 0.868 0.824 0.010
Sn 0.057 0.625 0.471
Sn 0.443 0.125 0.529
Sn 0.557 0.875 0.529
Sn 0.943 0.375 0.471
S 0.000 0.000 0.206
S 0.000 0.500 0.972
S 0.045 0.889 0.515
S 0.114 0.730 0.966
S 0.151 0.315 0.493
S 0.241 0.061 0.529
S 0.259 0.561 0.471
S 0.349 0.815 0.507
S 0.386 0.230 0.034
S 0.455 0.389 0.485
S 0.500 0.000 0.028
S 0.500 0.500 0.794
S 0.545 0.611 0.485
S 0.614 0.770 0.034
S 0.651 0.185 0.507
S 0.741 0.439 0.471
S 0.759 0.939 0.529
S 0.849 0.685 0.493
S 0.886 0.270 0.966
S 0.955 0.111 0.515

[9]
This entry pairs a crystal structure of AlZnF3 with its computed powder diffraction line list. Radiation: Cu Kα, 1.54184 Å. Structure: the GGA-PBE geometry in Alexandria.
Neutral-atom scattering factors, no anomalous dispersion.

Peak list (8 most intense, 15 to 90 degrees two-theta, in order of falling intensity)
d (Å)	two_theta	intensity
2.767	32.36	100
1.956	46.41	68
2.259	39.91	63
1.597	57.71	39
1.383	67.74	38
1.237	77.08	17
1.180	81.61	16
1.130	86.08	12

Atomic structure:
abc: 3.913 3.913 3.913
angles: 90.00 90.00 90.00
Positions (direct):
Al 0.000 0.000 0.000
Zn 0.500 0.500 0.500
F 0.000 0.000 0.500
F 0.000 0.500 0.000
F 0.500 0.000 0.000

[10]
This entry pairs a crystal structure of ThS2Cl5 with its computed powder diffraction line list. Radiation: Cu Kα, 1.54184 Å. Structure: the GGA-PBE geometry in Alexandria.
Neutral-atom scattering factors, no anomalous dispersion.

Peak list (8 most intense, 15 to 90 degrees two-theta, in order of falling intensity)
d (Å)	two_theta	intensity
5.236	16.93	100
4.949	17.92	88
5.061	17.52	51
2.244	40.19	44
4.039	22.01	43
2.579	34.79	43
3.496	25.48	42
3.911	22.74	41

Atomic structure:
abc: 5.576 8.282 8.986
angles: 110.69 97.39 109.16
Positions (direct):
Th 0.000 0.000 0.000
S 0.404 0.724 0.311
S 0.703 0.882 0.493
Cl 0.097 0.241 0.870
Cl 0.161 0.220 0.312
Cl 0.490 0.987 0.981
Cl 0.773 0.727 0.651
Cl 0.861 0.678 0.022

[11]
This entry pairs a crystal structure of Na2LiBe2F7 with its computed powder diffraction line list. Radiation: Cu Kα, 1.54184 Å. Structure: the GGA-PBE geometry in Alexandria.
Neutral-atom scattering factors, no anomalous dispersion.

Peak list (8 most intense, 15 to 90 degrees two-theta, in order of falling intensity)
d (Å)	two_theta	intensity
2.812	31.82	100
1.989	45.61	70
2.271	39.69	70
2.377	37.86	69
1.722	53.19	34
1.815	50.27	29
3.021	29.57	26
1.867	48.76	25

Atomic structure:
abc: 7.700 7.700 4.873
angles: 90.00 90.00 90.00
Positions (direct):
Na 0.168 0.332 0.497
Na 0.332 0.832 0.503
Na 0.668 0.168 0.503
Na 0.832 0.668 0.497
Li 0.000 0.000 0.000
Li 0.500 0.500 0.000
Be 0.141 0.641 0.928
Be 0.359 0.141 0.072
Be 0.641 0.859 0.072
Be 0.859 0.359 0.928
F 0.000 0.500 0.819
F 0.083 0.814 0.792
F 0.143 0.643 0.241
F 0.186 0.083 0.208
F 0.314 0.583 0.792
F 0.357 0.143 0.759
F 0.417 0.314 0.208
F 0.500 0.000 0.181
F 0.583 0.686 0.208
F 0.643 0.857 0.759
F 0.686 0.417 0.792
F 0.814 0.917 0.208
F 0.857 0.357 0.241
F 0.917 0.186 0.792

[12]
This entry pairs a crystal structure of Pu4Ge2As with its computed powder diffraction line list. Radiation: Cu Kα, 1.54184 Å. Structure: the GGA-PBE geometry in Alexandria.
Neutral-atom scattering factors, no anomalous dispersion.

Peak list (8 most intense, 15 to 90 degrees two-theta, in order of falling intensity)
d (Å)	two_theta	intensity
2.766	32.37	100
2.338	38.51	84
3.571	24.94	43
1.715	53.41	38
1.785	51.16	33
1.419	65.82	26
1.350	69.67	18
1.383	67.76	15

Atomic structure:
abc: 7.575 7.575 7.575
angles: 109.50 109.50 109.42
Positions (direct):
Pu 0.125 0.222 0.749
Pu 0.126 0.723 0.751
Pu 0.277 0.028 0.403
Pu 0.473 0.376 0.251
Pu 0.624 0.875 0.097
Pu 0.625 0.874 0.597
Pu 0.778 0.527 0.903
Pu 0.972 0.375 0.249
Ge 0.250 0.625 0.125
Ge 0.375 0.500 0.625
Ge 0.500 0.125 0.875
Ge 0.875 0.750 0.375
As 0.000 0.000 0.000
As 0.750 0.250 0.500

Q: Number 1 is which compound?
A: TbBi3O6